# 1
Li5Fe8B8O24: computed X-ray powder pattern (copper Kα), based on a DFT-relaxed cell (GGA+U, the Materials Project).
No peak broadening, texture or thermal motion is included.

Largest 10 diffraction maxima, in order of rising 2θ, 15° ≤ 2θ ≤ 90°:
d_spacing, two_theta, Rel. int.
4.536, 19.6, 32
4.490, 19.8, 60
4.122, 21.6, 100
3.457, 25.8, 24
3.441, 25.9, 29
3.373, 26.4, 36
2.628, 34.1, 23
2.601, 34.5, 58
2.586, 34.7, 85
1.293, 73.2, 22

Atomic structure:
```
data_Li5Fe8B8O24
_chemical_formula_sum 'Li5 Fe8 B8 O24'
_cell_length_a 5.257
_cell_length_b 8.980
_cell_length_c 10.348
_cell_angle_alpha 89.63
_cell_angle_beta 88.51
_cell_angle_gamma 89.82
_space_group_name_H-M_alt 'P 1'
_space_group_IT_number 1
loop_
_space_group_symop_operation_xyz
'x,y,z'
loop_
_atom_site_label
_atom_site_type_symbol
_atom_site_fract_x
_atom_site_fract_y
_atom_site_fract_z
_atom_site_occupancy
Li1 Li 0.000 0.000 0.000 1
Li2 Li 0.002 0.978 0.507 1
Li3 Li 0.313 0.003 0.752 1
Li4 Li 0.318 0.979 0.250 1
Li5 Li 0.815 0.483 0.262 1
Fe1 Fe 0.321 0.337 0.778 1
Fe2 Fe 0.321 0.648 0.287 1
Fe3 Fe 0.496 0.172 0.034 1
Fe4 Fe 0.499 0.820 0.532 1
Fe5 Fe 0.805 0.812 0.786 1
Fe6 Fe 0.806 0.152 0.288 1
Fe7 Fe 0.989 0.333 0.536 1
Fe8 Fe 0.998 0.659 0.042 1
B1 B 0.000 0.321 0.038 1
B2 B 0.316 0.666 0.796 1
B3 B 0.319 0.320 0.294 1
B4 B 0.484 0.161 0.544 1
B5 B 0.487 0.827 0.044 1
B6 B 0.821 0.825 0.287 1
B7 B 0.831 0.159 0.782 1
B8 B 0.998 0.662 0.537 1
O1 O 0.062 0.322 0.339 1
O2 O 0.074 0.674 0.854 1
O3 O 0.228 0.308 0.968 1
O4 O 0.238 0.674 0.485 1
O5 O 0.355 0.029 0.552 1
O6 O 0.357 0.294 0.576 1
O7 O 0.357 0.697 0.076 1
O8 O 0.359 0.961 0.051 1
O9 O 0.424 0.184 0.253 1
O10 O 0.430 0.798 0.754 1
O11 O 0.435 0.532 0.777 1
O12 O 0.460 0.445 0.287 1
O13 O 0.565 0.831 0.318 1
O14 O 0.568 0.171 0.807 1
O15 O 0.742 0.165 0.506 1
O16 O 0.746 0.822 0.010 1
O17 O 0.875 0.528 0.543 1
O18 O 0.875 0.792 0.582 1
O19 O 0.876 0.190 0.078 1
O20 O 0.905 0.456 0.073 1
O21 O 0.933 0.694 0.241 1
O22 O 0.955 0.028 0.805 1
O23 O 0.963 0.284 0.735 1
O24 O 0.971 0.950 0.307 1
```

# 2
Li3VO4: computed X-ray powder pattern (copper Kα), based on a DFT-relaxed cell (GGA+U, the Materials Project).
No peak broadening, texture or thermal motion is included.

Largest 10 diffraction maxima, in order of rising 2θ, 15° ≤ 2θ ≤ 90°:
d_spacing, two_theta, Rel. int.
5.507, 16.1, 27
4.177, 21.3, 100
4.027, 22.1, 93
3.774, 23.6, 75
3.205, 27.8, 23
2.770, 32.3, 59
2.754, 32.5, 29
2.713, 33.0, 32
2.588, 34.7, 49
1.593, 57.9, 32

Atomic structure:
```
data_Li3VO4
_chemical_formula_sum 'Li12 V4 O16'
_cell_length_a 11.015
_cell_length_b 6.409
_cell_length_c 5.176
_cell_angle_alpha 90.00
_cell_angle_beta 90.00
_cell_angle_gamma 90.00
_space_group_name_H-M_alt 'P n m a'
_space_group_IT_number 62
loop_
_space_group_symop_operation_xyz
'x,y,z'
'-x,-y,-z'
'-x+1/2,-y,z+1/2'
'x+1/2,y,-z+1/2'
'x+1/2,-y+1/2,-z+1/2'
'-x+1/2,y+1/2,z+1/2'
'-x,y+1/2,-z'
'x,-y+1/2,z'
loop_
_atom_site_label
_atom_site_type_symbol
_atom_site_fract_x
_atom_site_fract_y
_atom_site_fract_z
_atom_site_occupancy
Li1 Li 0.078 0.250 0.194 1
Li2 Li 0.166 0.504 0.809 1
V1 V 0.087 0.750 0.313 1
O1 O 0.062 0.250 0.798 1
O2 O 0.087 0.750 0.652 1
O3 O 0.162 0.527 0.203 1
```

# 3
LiFe4B4O12: computed X-ray powder pattern (copper Kα), based on a DFT-relaxed cell (GGA+U, the Materials Project).
No peak broadening, texture or thermal motion is included.

Largest 10 diffraction maxima, in order of rising 2θ, 15° ≤ 2θ ≤ 90°:
d_spacing, two_theta, Rel. int.
4.574, 19.4, 50
4.509, 19.7, 91
4.149, 21.4, 100
4.118, 21.6, 65
3.410, 26.1, 39
3.401, 26.2, 41
3.371, 26.4, 63
2.616, 34.3, 71
2.522, 35.6, 96
1.839, 49.6, 43

Atomic structure:
```
data_LiFe4B4O12
_chemical_formula_sum 'Li2 Fe8 B8 O24'
_cell_length_a 5.238
_cell_length_b 9.139
_cell_length_c 11.343
_cell_angle_alpha 66.47
_cell_angle_beta 76.70
_cell_angle_gamma 88.98
_space_group_name_H-M_alt 'P 1'
_space_group_IT_number 1
loop_
_space_group_symop_operation_xyz
'x,y,z'
loop_
_atom_site_label
_atom_site_type_symbol
_atom_site_fract_x
_atom_site_fract_y
_atom_site_fract_z
_atom_site_occupancy
Li1 Li 0.000 0.000 0.000 1
Li2 Li 0.478 0.477 0.746 1
Fe1 Fe 0.017 0.682 0.968 1
Fe2 Fe 0.254 0.900 0.221 1
Fe3 Fe 0.285 0.599 0.465 1
Fe4 Fe 0.498 0.819 0.723 1
Fe5 Fe 0.514 0.193 0.979 1
Fe6 Fe 0.748 0.401 0.213 1
Fe7 Fe 0.789 0.104 0.470 1
Fe8 Fe 0.995 0.305 0.721 1
B1 B 0.034 0.354 0.964 1
B2 B 0.235 0.561 0.220 1
B3 B 0.293 0.935 0.473 1
B4 B 0.498 0.151 0.715 1
B5 B 0.531 0.863 0.967 1
B6 B 0.742 0.066 0.221 1
B7 B 0.789 0.435 0.472 1
B8 B 0.996 0.642 0.718 1
O1 O 0.004 0.576 0.177 1
O2 O 0.021 0.419 0.516 1
O3 O 0.132 0.050 0.476 1
O4 O 0.134 0.733 0.758 1
O5 O 0.139 0.527 0.679 1
O6 O 0.233 0.825 0.423 1
O7 O 0.235 0.153 0.723 1
O8 O 0.295 0.671 0.271 1
O9 O 0.300 0.373 0.939 1
O10 O 0.367 0.958 0.020 1
O11 O 0.400 0.448 0.215 1
O12 O 0.413 0.780 0.912 1
O13 O 0.504 0.075 0.186 1
O14 O 0.523 0.920 0.519 1
O15 O 0.622 0.254 0.752 1
O16 O 0.623 0.546 0.486 1
O17 O 0.645 0.044 0.672 1
O18 O 0.731 0.330 0.418 1
O19 O 0.736 0.654 0.718 1
O20 O 0.787 0.857 0.971 1
O21 O 0.803 0.170 0.275 1
O22 O 0.873 0.442 0.020 1
O23 O 0.916 0.962 0.197 1
O24 O 0.918 0.246 0.924 1
```

# 4
Na3Co2SbO6: computed X-ray powder pattern (copper Kα), based on a DFT-relaxed cell (GGA+U, the Materials Project).
No peak broadening, texture or thermal motion is included.

Largest 10 diffraction maxima, in order of rising 2θ, 15° ≤ 2θ ≤ 90°:
d_spacing, two_theta, Rel. int.
5.420, 16.4, 100
2.710, 33.1, 23
2.684, 33.4, 13
2.574, 34.9, 54
2.265, 39.8, 43
2.260, 39.9, 42
2.246, 40.1, 41
1.631, 56.4, 13
1.625, 56.7, 24
1.563, 59.1, 12

Atomic structure:
```
data_Na3Co2SbO6
_chemical_formula_sum 'Na3 Co2 Sb1 O6'
_cell_length_a 5.416
_cell_length_b 5.426
_cell_length_c 5.723
_cell_angle_alpha 99.02
_cell_angle_beta 99.53
_cell_angle_gamma 119.76
_space_group_name_H-M_alt 'P 1'
_space_group_IT_number 1
loop_
_space_group_symop_operation_xyz
'x,y,z'
loop_
_atom_site_label
_atom_site_type_symbol
_atom_site_fract_x
_atom_site_fract_y
_atom_site_fract_z
_atom_site_occupancy
Na1 Na 0.000 0.000 0.000 1
Na2 Na 0.325 0.675 0.001 1
Na3 Na 0.653 0.347 0.000 1
Co1 Co 0.159 0.839 0.500 1
Co2 Co 0.492 0.508 0.500 1
Sb1 Sb 0.825 0.173 0.500 1
O1 O 0.073 0.422 0.298 1
O2 O 0.211 0.242 0.706 1
O3 O 0.441 0.104 0.293 1
O4 O 0.580 0.929 0.704 1
O5 O 0.758 0.791 0.295 1
O6 O 0.894 0.557 0.705 1
```

# 5
LiFeCO3F2: computed X-ray powder pattern (copper Kα), based on a DFT-relaxed cell (GGA+U, the Materials Project).
No peak broadening, texture or thermal motion is included.

Largest 10 diffraction maxima, in order of rising 2θ, 15° ≤ 2θ ≤ 90°:
d_spacing, two_theta, Rel. int.
5.162, 17.2, 48
4.877, 18.2, 100
4.285, 20.7, 37
3.233, 27.6, 73
2.966, 30.1, 39
2.581, 34.8, 30
2.572, 34.9, 24
1.961, 46.3, 29
1.925, 47.2, 55
1.832, 49.8, 25

Atomic structure:
```
data_LiFeCO3F2
_chemical_formula_sum 'Li4 Fe4 C4 O12 F8'
_cell_length_a 5.932
_cell_length_b 6.467
_cell_length_c 8.570
_cell_angle_alpha 90.00
_cell_angle_beta 90.00
_cell_angle_gamma 90.00
_space_group_name_H-M_alt 'P n m a'
_space_group_IT_number 62
loop_
_space_group_symop_operation_xyz
'x,y,z'
'-x,-y,-z'
'-x+1/2,-y,z+1/2'
'x+1/2,y,-z+1/2'
'x+1/2,-y+1/2,-z+1/2'
'-x+1/2,y+1/2,z+1/2'
'-x,y+1/2,-z'
'x,-y+1/2,z'
loop_
_atom_site_label
_atom_site_type_symbol
_atom_site_fract_x
_atom_site_fract_y
_atom_site_fract_z
_atom_site_occupancy
Li1 Li 0.199 0.250 0.228 1
Fe1 Fe 0.004 0.250 0.577 1
C1 C 0.041 0.750 0.060 1
O1 O 0.119 0.750 0.201 1
O2 O 0.165 0.250 0.982 1
O3 O 0.196 0.750 0.953 1
F1 F 0.044 0.550 0.641 1
```

# 6
MgNi2Bi2O6: computed X-ray powder pattern (copper Kα), based on a DFT-relaxed cell (GGA+U, the Materials Project).
No peak broadening, texture or thermal motion is included.

Largest 10 diffraction maxima, in order of rising 2θ, 15° ≤ 2θ ≤ 90°:
d_spacing, two_theta, Rel. int.
5.225, 17.0, 40
4.777, 18.6, 27
4.225, 21.0, 33
2.896, 30.9, 100
2.659, 33.7, 83
2.533, 35.4, 41
1.958, 46.4, 38
1.672, 54.9, 28
1.622, 56.7, 42
1.272, 74.6, 17

Atomic structure:
```
data_MgNi2Bi2O6
_chemical_formula_sum 'Mg3 Ni6 Bi6 O18'
_cell_length_a 5.7920
_cell_length_b 5.7920
_cell_length_c 15.6755
_cell_angle_alpha 90.00
_cell_angle_beta 90.00
_cell_angle_gamma 120.00
_space_group_name_H-M_alt 'R 3'
_space_group_IT_number 146
_space_group_name_Hall 'R 3'
loop_
_atom_site_label
_atom_site_type_symbol
_atom_site_fract_x
_atom_site_fract_y
_atom_site_fract_z
_atom_site_occupancy
Mg1 Mg 0.0000 0.0000 0.0000 1
Ni1 Ni 0.0000 0.0000 0.4195 1
Ni2 Ni 0.0000 0.0000 0.8183 1
Bi1 Bi 0.0000 0.0000 0.2281 1
Bi2 Bi 0.0000 0.0000 0.6134 1
O1 O 0.0227 0.4184 0.1734 1
O2 O 0.0812 0.7130 0.9983 1
```

# 7
SrCaMn2O6: computed X-ray powder pattern (copper Kα), based on a DFT-relaxed cell (GGA+U, the Materials Project).
No peak broadening, texture or thermal motion is included.

Largest 10 diffraction maxima, in order of rising 2θ, 15° ≤ 2θ ≤ 90°:
d_spacing, two_theta, Rel. int.
4.422, 20.1, 15
2.717, 33.0, 100
2.691, 33.3, 57
2.211, 40.8, 14
1.940, 46.8, 24
1.903, 47.8, 40
1.574, 58.7, 22
1.558, 59.3, 42
1.358, 69.2, 23
1.203, 79.7, 10

Atomic structure:
```
data_SrCaMn2O6
_chemical_formula_sum 'Sr2 Ca2 Mn4 O12'
_cell_length_a 5.381
_cell_length_b 5.381
_cell_length_c 7.761
_cell_angle_alpha 90.00
_cell_angle_beta 90.00
_cell_angle_gamma 90.00
_space_group_name_H-M_alt 'I -4 2 m'
_space_group_IT_number 121
_space_group_name_Hall 'I -4 2'
loop_
_atom_site_label
_atom_site_type_symbol
_atom_site_fract_x
_atom_site_fract_y
_atom_site_fract_z
_atom_site_occupancy
Sr1 Sr 0.000 0.000 0.000 1
Ca1 Ca 0.000 0.000 0.500 1
Mn1 Mn 0.000 0.500 0.250 1
O1 O 0.000 0.500 0.000 1
O2 O 0.202 0.202 0.261 1
```